(1)
Structure and theoretical XRD peak list of BaCaEuFeO6 (a structure optimized by DFT (PBE+U); Cu Kα (weighted mean of Kα1 and Kα2)).

Principal peaks in the range 10 to 90 degrees two-theta, sorted by position:
2θ/deg	I/Imax
21.7	19
30.8	100
38.0	23
44.2	33
49.7	11
54.9	38
64.3	19
68.7	6
73.0	17
77.2	7
81.3	6
89.4	21

Structural model:
Cell lengths 8.1993, 8.1993, 8.1993 Å; angles 90.00, 90.00, 90.00 degrees
Space group F-43m (No. 216)
Unique sites:
Ba1 0.0000 0.0000 0.0000 x4
Ca1 0.2500 0.2500 0.7500 x4
Eu1 0.0000 0.0000 0.5000 x4
Fe1 0.2500 0.2500 0.2500 x4
O1 0.0216 0.2500 0.2500 x24

(2)
Structure and theoretical XRD peak list of Mn12O7F17 (a structure optimized by DFT (PBE+U); Cu Kα (weighted mean of Kα1 and Kα2)).

Principal peaks in the range 10 to 90 degrees two-theta, sorted by position:
2θ/deg	I/Imax
23.8	57
24.8	48
29.0	51
29.3	53
30.0	100
35.1	22
51.5	27
51.6	21
51.9	40
52.0	20
60.8	20
61.4	21

Structural model:
Cell lengths 4.7299, 5.7968, 16.0211 Å; angles 89.36, 89.63, 87.62 degrees
Space group P1 (No. 1)
Unique sites:
Mn1 0.0000 0.0000 0.0000 x1
Mn2 0.0024 0.6804 0.5094 x1
Mn3 0.0070 0.6764 0.8458 x1
Mn4 0.0173 0.0067 0.3365 x1
Mn5 0.0341 0.9921 0.6673 x1
Mn6 0.0428 0.6879 0.1767 x1
Mn7 0.5081 0.5025 0.3323 x1
Mn8 0.5128 0.2102 0.8328 x1
Mn9 0.5168 0.5156 0.6556 x1
Mn10 0.5250 0.5050 0.9935 x1
Mn11 0.5357 0.1875 0.1563 x1
Mn12 0.5408 0.2041 0.4940 x1
O1 0.2196 0.7330 0.9491 x1
O2 0.2265 0.7177 0.6097 x1
O3 0.2445 0.7392 0.2883 x1
O4 0.7187 0.4697 0.8871 x1
O5 0.7314 0.4689 0.5536 x1
O6 0.7321 0.2378 0.3817 x1
O7 0.7430 0.2378 0.0450 x1
F1 0.2249 0.9636 0.4506 x1
F2 0.2312 0.9701 0.1101 x1
F3 0.2425 0.9623 0.7842 x1
F4 0.2487 0.2318 0.9390 x1
F5 0.2669 0.2415 0.2670 x1
F6 0.2681 0.4645 0.4356 x1
F7 0.2789 0.4679 0.7649 x1
F8 0.2864 0.2237 0.6031 x1
F9 0.2970 0.4728 0.1012 x1
F10 0.7258 0.4714 0.2231 x1
F11 0.7459 0.2451 0.7169 x1
F12 0.7632 0.9671 0.8931 x1
F13 0.7649 0.9617 0.5642 x1
F14 0.7732 0.7490 0.0659 x1
F15 0.7737 0.7374 0.4009 x1
F16 0.7832 0.7352 0.7338 x1
F17 0.7855 0.9664 0.2296 x1

(3)
Structure and theoretical XRD peak list of Sm2Fe2O5 (a structure optimized by DFT (PBE+U); Cu Kα (weighted mean of Kα1 and Kα2)).

Principal peaks in the range 10 to 90 degrees two-theta, sorted by position:
2θ/deg	I/Imax
21.4	51
22.3	70
22.8	38
30.1	89
31.3	72
31.4	90
31.6	79
32.0	92
32.8	100
39.2	37
43.5	44
46.6	54

Structural model:
Cell lengths 3.8987, 4.1662, 8.0008 Å; angles 86.71, 87.64, 89.25 degrees
Space group P1 (No. 1)
Unique sites:
Sm1 0.0000 0.0000 0.0000 x1
Sm2 0.0478 0.0817 0.5387 x1
Fe1 0.5241 0.5343 0.8145 x1
Fe2 0.5576 0.6016 0.3255 x1
O1 0.0220 0.5219 0.8506 x1
O2 0.0383 0.5977 0.4220 x1
O3 0.4966 0.7641 0.0775 x1
O4 0.5371 0.0575 0.7558 x1
O5 0.5604 0.1128 0.3769 x1

(4)
Structure and theoretical XRD peak list of K2MnAgF6 (a structure optimized by DFT (PBE+U); Cu Kα (weighted mean of Kα1 and Kα2)).

Principal peaks in the range 10 to 90 degrees two-theta, sorted by position:
2θ/deg	I/Imax
20.5	43
29.1	100
34.3	11
41.7	51
45.6	8
46.9	17
51.7	35
60.4	28
64.5	7
68.5	17
76.1	8
83.5	19

Structural model:
Cell lengths 8.6652, 8.6652, 8.6652 Å; angles 90.00, 90.00, 90.00 degrees
Space group Fm-3m (No. 225)
Unique sites:
K1 0.2500 0.2500 0.2500 x8
Mn1 0.0000 0.0000 0.0000 x4
Ag1 0.0000 0.0000 0.5000 x4
F1 0.0000 0.0000 0.2268 x24

(5)
Structure and theoretical XRD peak list of Li2VO3F (a structure optimized by DFT (PBE+U); Cu Kα (weighted mean of Kα1 and Kα2)).

Principal peaks in the range 10 to 90 degrees two-theta, sorted by position:
2θ/deg	I/Imax
12.0	50
15.1	39
18.4	100
19.1	39
24.0	26
24.1	36
24.7	35
26.2	34
36.0	22
43.3	54
43.6	53
44.0	52

Structural model:
Cell lengths 5.1501, 7.7289, 7.7432 Å; angles 98.41, 102.65, 103.38 degrees
Space group P1 (No. 1)
Unique sites:
Li1 0.0000 0.0000 0.0000 x1
Li2 0.0022 0.8992 0.6227 x1
Li3 0.0079 0.7719 0.2378 x1
Li4 0.0161 0.5325 0.4906 x1
Li5 0.0196 0.6395 0.8592 x1
Li6 0.0485 0.3900 0.1246 x1
Li7 0.5103 0.6409 0.3555 x1
Li8 0.9585 0.1414 0.3482 x1
V1 0.4708 0.3643 0.5837 x1
V2 0.5068 0.5505 0.9712 x1
V3 0.5069 0.9899 0.5011 x1
V4 0.5322 0.1634 0.9061 x1
O1 0.2542 0.7898 0.4806 x1
O2 0.2575 0.4016 0.3956 x1
O3 0.2744 0.1541 0.6137 x1
O4 0.2868 0.6161 0.0928 x1
O5 0.3070 0.5196 0.7461 x1
O6 0.3086 0.2695 0.9909 x1
O7 0.6893 0.0253 0.7323 x1
O8 0.6986 0.2636 0.4941 x1
O9 0.7139 0.3837 0.8609 x1
O10 0.7324 0.9107 0.3971 x1
O11 0.7672 0.1486 0.0894 x1
O12 0.7703 0.7412 0.9923 x1
F1 0.2292 0.0154 0.2654 x1
F2 0.2374 0.9264 0.8595 x1
F3 0.7689 0.6165 0.6122 x1
F4 0.7727 0.5341 0.2330 x1